Structure and theoretical powder XRD pattern of Pr2Nd6Y3 (a crystal structure in Alexandria, relaxed with PBE; Cu Ka).
Lines closer than 0.1° are merged.

```
Pr2Nd6Y3
1.0
3.140 -5.446 0.000
3.140 5.446 0.000
-2.119 0.000 11.709
Pr Nd Y
2 6 3
Direct
0.167 0.833 0.000
0.833 0.167 0.000
0.084 0.416 0.748
0.251 0.251 0.251
0.416 0.084 0.748
0.584 0.916 0.252
0.749 0.749 0.749
0.916 0.584 0.252
0.000 0.000 0.500
0.335 0.665 0.500
0.665 0.335 0.500
```

Most intense lines, 2θ from 10° to 90°, by angle:
d 2.958, 30.21 deg, rel. 100.0; d 2.927, 30.54 deg, rel. 32.4; d 2.555, 35.12 deg, rel. 66.8; d 1.814, 50.30 deg, rel. 24.0; d 1.800, 50.73 deg, rel. 23.3; d 1.547, 59.77 deg, rel. 9.6; d 1.543, 59.94 deg, rel. 23.6; d 1.540, 60.07 deg, rel. 9.3; d 1.479, 62.82 deg, rel. 12.2; d 1.177, 81.85 deg, rel. 11.6

=====

Structure and theoretical powder XRD pattern of Pr6NdY3 (a crystal structure in Alexandria, relaxed with PBE; Cu Ka).
Lines closer than 0.1° are merged.

```
Pr6NdY3
1.0
5.617 -9.815 0.000
5.617 9.815 0.000
0.000 0.000 6.363
Pr Nd Y
12 2 6
Direct
0.039 0.961 0.500
0.054 0.473 0.020
0.281 0.719 0.752
0.291 0.373 0.852
0.373 0.291 0.352
0.473 0.054 0.520
0.527 0.946 0.020
0.627 0.709 0.852
0.709 0.627 0.352
0.719 0.281 0.252
0.946 0.527 0.520
0.961 0.039 0.000
0.197 0.803 0.285
0.803 0.197 0.785
0.057 0.286 0.431
0.286 0.057 0.931
0.384 0.616 0.312
0.616 0.384 0.812
0.714 0.943 0.431
0.943 0.714 0.931
```

Most intense lines, 2θ from 10° to 90°, by angle:
d 3.250, 27.44 deg, rel. 18.1; d 3.197, 27.91 deg, rel. 66.9; d 3.183, 28.03 deg, rel. 43.7; d 3.025, 29.53 deg, rel. 24.3; d 2.910, 30.73 deg, rel. 100.0; d 2.894, 30.90 deg, rel. 41.2; d 2.769, 32.33 deg, rel. 26.9; d 2.664, 33.64 deg, rel. 67.7; d 2.119, 42.66 deg, rel. 18.7; d 1.840, 49.55 deg, rel. 27.0

=====

Structure and theoretical powder XRD pattern of Pr4NdY6 (a crystal structure in Alexandria, relaxed with PBE; Cu Ka).
Lines closer than 0.1° are merged.

```
Pr4NdY6
1.0
2.922 -4.899 0.000
2.922 4.899 0.000
0.000 0.000 26.269
Pr Nd Y
8 2 12
Direct
0.029 0.971 0.623
0.029 0.971 0.877
0.343 0.657 0.545
0.343 0.657 0.955
0.657 0.343 0.045
0.657 0.343 0.455
0.971 0.029 0.123
0.971 0.029 0.377
0.316 0.684 0.250
0.684 0.316 0.750
0.000 0.000 0.000
0.000 0.000 0.500
0.018 0.982 0.750
0.312 0.688 0.103
0.312 0.688 0.397
0.355 0.645 0.682
0.355 0.645 0.818
0.645 0.355 0.182
0.645 0.355 0.318
0.688 0.312 0.603
0.688 0.312 0.897
0.982 0.018 0.250
```

Most intense lines, 2θ from 10° to 90°, by angle:
d 3.005, 29.73 deg, rel. 62.5; d 2.979, 29.99 deg, rel. 46.0; d 2.922, 30.60 deg, rel. 61.8; d 2.851, 31.38 deg, rel. 100.0; d 2.834, 31.56 deg, rel. 13.1; d 2.748, 32.59 deg, rel. 43.2; d 2.086, 43.38 deg, rel. 33.2; d 1.673, 54.88 deg, rel. 20.1; d 1.665, 55.16 deg, rel. 18.3; d 1.630, 56.46 deg, rel. 15.2

=====

Structure and theoretical powder XRD pattern of PrNd5Y12 (a crystal structure in Alexandria, relaxed with PBE; Cu Ka).
Lines closer than 0.1° are merged.

```
PrNd5Y12
1.0
9.382 -5.399 0.000
9.382 5.399 0.000
-2.069 0.000 5.899
Pr Nd Y
1 5 12
Direct
0.000 0.000 0.000
0.167 0.167 0.500
0.333 0.333 0.000
0.500 0.500 0.500
0.667 0.667 0.000
0.833 0.833 0.500
0.001 0.665 0.000
0.166 0.501 0.500
0.168 0.832 0.500
0.333 0.667 0.000
0.335 0.999 0.000
0.499 0.834 0.500
0.501 0.166 0.500
0.665 0.001 0.000
0.667 0.333 0.000
0.832 0.168 0.500
0.834 0.499 0.500
0.999 0.335 0.000
```

Most intense lines, 2θ from 10° to 90°, by angle:
d 2.950, 30.29 deg, rel. 100.0; d 2.941, 30.39 deg, rel. 99.1; d 2.551, 35.18 deg, rel. 100.0; d 1.808, 50.47 deg, rel. 11.8; d 1.804, 50.60 deg, rel. 46.7; d 1.540, 60.08 deg, rel. 41.4; d 1.537, 60.22 deg, rel. 41.1; d 1.475, 63.01 deg, rel. 12.4; d 1.470, 63.24 deg, rel. 11.8; d 1.141, 85.03 deg, rel. 20.6